Li2Zn2Au3: theoretical powder diffraction line list (Cu Kα (weighted mean of Kα1 and Kα2)), based on a structure optimized by DFT (GGA-PBE).
Kinematic intensities with the Lorentz-polarization factor, no thermal factor.

Peak list (8 most intense, 10 to 90 degrees two-theta, most intense first)
- 24.87°, I 100
- 41.01°, I 54
- 24.55°, I 48
- 40.10°, I 47
- 43.41°, I 44
- 42.32°, I 36
- 18.42°, I 22
- 32.34°, I 21

Atomic structure:
```
Li2Zn2Au3
1.0
4.827 0.000 0.000
0.000 7.253 0.000
-0.480 0.000 7.096
Li Zn Au
4 4 6
Direct
0.094 0.159 0.162
0.094 0.341 0.662
0.906 0.659 0.338
0.906 0.841 0.838
0.468 0.689 0.001
0.468 0.811 0.501
0.532 0.189 0.499
0.532 0.311 0.999
0.000 0.000 0.500
0.000 0.500 0.000
0.385 0.013 0.814
0.385 0.487 0.314
0.615 0.513 0.686
0.615 0.987 0.186
```



La6In5Sn: theoretical powder diffraction line list (Cu Kα (weighted mean of Kα1 and Kα2)), based on a structure optimized by DFT (GGA-PBE).
Kinematic intensities with the Lorentz-polarization factor, no thermal factor.

Peak list (8 most intense, 10 to 90 degrees two-theta, most intense first)
- 32.09°, I 100
- 31.87°, I 25
- 31.99°, I 25
- 57.07°, I 19
- 56.93°, I 19
- 57.30°, I 19
- 45.78°, I 18
- 75.99°, I 12

Atomic structure:
```
La6In5Sn
1.0
2.798 -8.423 0.000
2.798 8.423 0.000
0.000 0.000 7.853
La In Sn
6 5 1
Direct
0.000 0.000 0.246
0.000 0.000 0.754
0.335 0.665 0.251
0.335 0.665 0.749
0.665 0.335 0.251
0.665 0.335 0.749
0.167 0.833 0.500
0.172 0.828 0.000
0.500 0.500 0.500
0.828 0.172 0.000
0.833 0.167 0.500
0.500 0.500 0.000
```



K2BaBi2Pb: theoretical powder diffraction line list (Cu Kα (weighted mean of Kα1 and Kα2)), based on a structure optimized by DFT (GGA-PBE).
Kinematic intensities with the Lorentz-polarization factor, no thermal factor.

Peak list (8 most intense, 10 to 90 degrees two-theta, most intense first)
- 27.07°, I 100
- 31.04°, I 69
- 19.05°, I 51
- 33.63°, I 50
- 34.70°, I 49
- 12.78°, I 49
- 34.41°, I 47
- 32.56°, I 42

Atomic structure:
```
K2BaBi2Pb
1.0
5.213 0.000 0.000
0.000 10.358 0.000
0.000 0.000 9.322
K Ba Bi Pb
4 2 4 2
Direct
0.000 0.082 0.000
0.000 0.918 0.500
0.500 0.179 0.325
0.500 0.821 0.825
0.500 0.436 0.931
0.500 0.564 0.431
0.000 0.405 0.220
0.000 0.595 0.720
0.500 0.153 0.719
0.500 0.847 0.219
0.000 0.307 0.594
0.000 0.693 0.094
```



Pu2Al2GaRh5: theoretical powder diffraction line list (Cu Kα (weighted mean of Kα1 and Kα2)), based on a structure optimized by DFT (GGA-PBE).
Kinematic intensities with the Lorentz-polarization factor, no thermal factor.

Peak list (8 most intense, 10 to 90 degrees two-theta, most intense first)
- 39.99°, I 100
- 35.66°, I 95
- 34.78°, I 70
- 36.73°, I 50
- 19.12°, I 45
- 37.98°, I 26
- 71.43°, I 26
- 33.65°, I 23

Atomic structure:
```
Pu2Al2GaRh5
1.0
10.380 0.000 0.000
0.000 10.380 0.000
0.000 0.000 3.103
Pu Al Ga Rh
4 4 2 10
Direct
0.174 0.326 0.000
0.326 0.826 0.000
0.674 0.174 0.000
0.826 0.674 0.000
0.130 0.630 0.000
0.370 0.130 0.000
0.630 0.870 0.000
0.870 0.370 0.000
0.000 0.000 0.000
0.500 0.500 0.000
0.000 0.500 0.500
0.057 0.803 0.500
0.197 0.057 0.500
0.303 0.557 0.500
0.443 0.303 0.500
0.500 0.000 0.500
0.557 0.697 0.500
0.697 0.443 0.500
0.803 0.943 0.500
0.943 0.197 0.500
```



Er4Ru: theoretical powder diffraction line list (Cu Kα (weighted mean of Kα1 and Kα2)), based on a structure optimized by DFT (GGA-PBE).
Kinematic intensities with the Lorentz-polarization factor, no thermal factor.

Peak list (8 most intense, 10 to 90 degrees two-theta, most intense first)
- 30.91°, I 100
- 33.71°, I 60
- 35.61°, I 42
- 29.84°, I 37
- 40.04°, I 29
- 55.48°, I 22
- 42.71°, I 21
- 52.12°, I 18

Atomic structure:
```
Er4Ru
1.0
-4.234 4.234 3.961
4.234 -4.234 3.961
4.234 4.234 -3.961
Er Ru
8 2
Direct
0.027 0.824 0.190
0.116 0.426 0.703
0.163 0.973 0.797
0.176 0.366 0.203
0.574 0.277 0.690
0.587 0.884 0.310
0.634 0.837 0.810
0.723 0.413 0.297
0.250 0.750 0.500
0.500 0.500 0.000
```



Ti5O2: theoretical powder diffraction line list (Cu Kα (weighted mean of Kα1 and Kα2)), based on a structure optimized by DFT (GGA-PBE).
Kinematic intensities with the Lorentz-polarization factor, no thermal factor.

Peak list (8 most intense, 10 to 90 degrees two-theta, most intense first)
- 39.78°, I 100
- 39.51°, I 53
- 37.56°, I 30
- 52.19°, I 23
- 62.16°, I 20
- 74.94°, I 13
- 34.89°, I 13
- 76.74°, I 12

Atomic structure:
```
Ti5O2
1.0
6.538 -2.594 0.000
6.538 2.594 0.000
-1.499 0.000 5.424
Ti O
10 4
Direct
0.094 0.906 0.750
0.116 0.282 0.652
0.282 0.116 0.152
0.317 0.479 0.049
0.479 0.317 0.549
0.521 0.683 0.451
0.683 0.521 0.951
0.718 0.884 0.848
0.884 0.718 0.348
0.906 0.094 0.250
0.097 0.602 0.701
0.398 0.903 0.799
0.602 0.097 0.201
0.903 0.398 0.299
```



LaPm15Ho4: theoretical powder diffraction line list (Cu Kα (weighted mean of Kα1 and Kα2)), based on a structure optimized by DFT (GGA-PBE).
Kinematic intensities with the Lorentz-polarization factor, no thermal factor.

Peak list (8 most intense, 10 to 90 degrees two-theta, most intense first)
- 30.13°, I 100
- 34.93°, I 51
- 59.70°, I 43
- 50.23°, I 36
- 81.71°, I 17
- 62.64°, I 12
- 84.33°, I 11
- 84.26°, I 6

Atomic structure:
```
LaPm15Ho4
1.0
5.140 0.000 0.000
0.000 5.140 0.000
0.000 0.000 25.661
La Pm Ho
1 15 4
Direct
0.000 0.000 0.000
0.000 0.500 0.103
0.000 0.500 0.302
0.000 0.500 0.500
0.000 0.500 0.698
0.000 0.500 0.897
0.500 0.000 0.103
0.500 0.000 0.302
0.500 0.000 0.500
0.500 0.000 0.698
0.500 0.000 0.897
0.500 0.500 0.000
0.500 0.500 0.203
0.500 0.500 0.401
0.500 0.500 0.599
0.500 0.500 0.797
0.000 0.000 0.202
0.000 0.000 0.401
0.000 0.000 0.599
0.000 0.000 0.798
```



HgSb7: theoretical powder diffraction line list (Cu Kα (weighted mean of Kα1 and Kα2)), based on a structure optimized by DFT (GGA-PBE).
Kinematic intensities with the Lorentz-polarization factor, no thermal factor.

Peak list (8 most intense, 10 to 90 degrees two-theta, most intense first)
- 32.41°, I 100
- 37.59°, I 50
- 64.60°, I 40
- 54.22°, I 34
- 89.22°, I 18
- 67.85°, I 12
- 80.25°, I 5
- 16.04°, I 3

Atomic structure:
```
HgSb7
1.0
0.000 4.785 4.785
4.785 0.000 4.785
4.785 4.785 0.000
Hg Sb
1 7
Direct
0.000 0.000 0.000
0.000 0.000 0.500
0.000 0.500 0.000
0.000 0.500 0.500
0.500 0.000 0.000
0.500 0.000 0.500
0.500 0.500 0.000
0.500 0.500 0.500
```